(1)
Starting from a cell relaxed with PBE, the X-ray powder pattern of PrNp2Fe9 was computed for Cu Kα, 1.54184 Å.
Neutral-atom scattering factors, no anomalous dispersion.

Peak list (6 most intense, 2θ = 5–70°, sorted by position)
d [Å], 2theta, intensity
8.434, 10.5, 32
2.746, 32.6, 61
2.531, 35.5, 28
2.438, 36.9, 54
2.110, 42.9, 100
2.104, 43.0, 30

Structural model:
```
data_PrNp2Fe9
_chemical_formula_sum 'Pr1 Np2 Fe9'
_cell_length_a 8.892
_cell_length_b 8.892
_cell_length_c 8.892
_cell_angle_alpha 31.83
_cell_angle_beta 31.83
_cell_angle_gamma 31.83
_symmetry_space_group_name_H-M 'P 1'
_symmetry_Int_Tables_number 1
_symmetry_space_group_name_Hall 'P 1'
loop_
_atom_site_label
_atom_site_type_symbol
_atom_site_fract_x
_atom_site_fract_y
_atom_site_fract_z
Pr1 Pr 0.000 0.000 0.000
Np1 Np 0.145 0.145 0.145
Np2 Np 0.855 0.855 0.855
Fe1 Fe 0.085 0.580 0.580
Fe2 Fe 0.332 0.332 0.332
Fe3 Fe 0.420 0.420 0.915
Fe4 Fe 0.420 0.915 0.420
Fe5 Fe 0.500 0.500 0.500
Fe6 Fe 0.580 0.085 0.580
Fe7 Fe 0.580 0.580 0.085
Fe8 Fe 0.668 0.668 0.668
Fe9 Fe 0.915 0.420 0.420
```


(2)
Starting from a cell relaxed with PBE, the X-ray powder pattern of Np3Tl3FeS8 was computed for Cu Kα, 1.54184 Å.
Neutral-atom scattering factors, no anomalous dispersion.

Peak list (6 most intense, 2θ = 5–70°, sorted by position)
d [Å], 2theta, intensity
5.806, 15.3, 28
3.815, 23.3, 35
3.232, 27.6, 62
2.903, 30.8, 100
2.181, 41.4, 40
1.945, 46.7, 33

Structural model:
```
data_Np3Tl3FeS8
_chemical_formula_sum 'Np3 Tl3 Fe1 S8'
_cell_length_a 8.854
_cell_length_b 8.854
_cell_length_c 8.854
_cell_angle_alpha 52.12
_cell_angle_beta 52.12
_cell_angle_gamma 52.12
_symmetry_space_group_name_H-M 'P 1'
_symmetry_Int_Tables_number 1
_symmetry_space_group_name_Hall 'P 1'
loop_
_atom_site_label
_atom_site_type_symbol
_atom_site_fract_x
_atom_site_fract_y
_atom_site_fract_z
Np1 Np 0.000 0.500 0.500
Np2 Np 0.500 0.000 0.500
Np3 Np 0.500 0.500 0.000
Tl1 Tl 0.000 0.000 0.500
Tl2 Tl 0.000 0.500 0.000
Tl3 Tl 0.500 0.000 0.000
Fe1 Fe 0.000 0.000 0.000
S1 S 0.222 0.222 0.742
S2 S 0.222 0.742 0.222
S3 S 0.258 0.778 0.778
S4 S 0.267 0.267 0.267
S5 S 0.733 0.733 0.733
S6 S 0.742 0.222 0.222
S7 S 0.778 0.258 0.778
S8 S 0.778 0.778 0.258
```


(3)
Starting from a cell relaxed with PBE, the X-ray powder pattern of Np3Fe6Si2 was computed for Cu Kα, 1.54184 Å.
Neutral-atom scattering factors, no anomalous dispersion.

Peak list (6 most intense, 2θ = 5–70°, sorted by position)
d [Å], 2theta, intensity
3.489, 25.5, 50
2.703, 33.1, 46
2.467, 36.4, 82
2.284, 39.4, 48
2.015, 45.0, 100
1.561, 59.2, 37

Structural model:
```
data_Np3Fe6Si2
_chemical_formula_sum 'Np6 Fe12 Si4'
_cell_length_a 7.402
_cell_length_b 7.402
_cell_length_c 7.402
_cell_angle_alpha 109.47
_cell_angle_beta 109.47
_cell_angle_gamma 109.47
_symmetry_space_group_name_H-M 'P 1'
_symmetry_Int_Tables_number 1
_symmetry_space_group_name_Hall 'P 1'
loop_
_atom_site_label
_atom_site_type_symbol
_atom_site_fract_x
_atom_site_fract_y
_atom_site_fract_z
Np1 Np 0.000 0.271 0.271
Np2 Np 0.000 0.729 0.729
Np3 Np 0.271 0.000 0.271
Np4 Np 0.271 0.271 0.000
Np5 Np 0.729 0.000 0.729
Np6 Np 0.729 0.729 0.000
Fe1 Fe 0.000 0.351 0.649
Fe2 Fe 0.000 0.649 0.351
Fe3 Fe 0.298 0.649 0.649
Fe4 Fe 0.351 0.000 0.649
Fe5 Fe 0.351 0.351 0.702
Fe6 Fe 0.351 0.649 0.000
Fe7 Fe 0.351 0.702 0.351
Fe8 Fe 0.649 0.000 0.351
Fe9 Fe 0.649 0.298 0.649
Fe10 Fe 0.649 0.351 0.000
Fe11 Fe 0.649 0.649 0.298
Fe12 Fe 0.702 0.351 0.351
Si1 Si 0.000 0.000 0.500
Si2 Si 0.000 0.500 0.000
Si3 Si 0.500 0.000 0.000
Si4 Si 0.500 0.500 0.500
```